[1]
This entry pairs a crystal structure of YMgAu2 with its theoretical XRD peak list. Radiation: Cu Kα (λ = 1.5418 Å). Structure: a DFT-relaxed cell (PBE, the Materials Project).
Intensities are scaled so that the largest is 100.

Peak list (9 most intense, 5° ≤ 2θ ≤ 70°, by intensity)
2θ 36.5, rel. 100.0
2θ 65.8, rel. 36.1
2θ 25.6, rel. 36.1
2θ 52.6, rel. 17.6
2θ 59.4, rel. 15.3
2θ 45.2, rel. 11.3
2θ 22.1, rel. 4.0
2θ 43.1, rel. 2.0
2θ 57.8, rel. 0.8

Cell and atoms:
```
data_YMgAu2
_chemical_formula_sum 'Y4 Mg4 Au8'
_cell_length_a 6.956
_cell_length_b 6.956
_cell_length_c 6.956
_cell_angle_alpha 90.00
_cell_angle_beta 90.00
_cell_angle_gamma 90.00
_space_group_name_H-M_alt 'P 1'
_space_group_IT_number 1
loop_
_space_group_symop_operation_xyz
'x,y,z'
loop_
_atom_site_label
_atom_site_type_symbol
_atom_site_fract_x
_atom_site_fract_y
_atom_site_fract_z
_atom_site_occupancy
Y1 Y 0.000 0.000 0.000 1
Y2 Y 0.000 0.500 0.500 1
Y3 Y 0.500 0.000 0.500 1
Y4 Y 0.500 0.500 0.000 1
Mg1 Mg 0.000 0.000 0.500 1
Mg2 Mg 0.000 0.500 0.000 1
Mg3 Mg 0.500 0.000 0.000 1
Mg4 Mg 0.500 0.500 0.500 1
Au1 Au 0.250 0.250 0.250 1
Au2 Au 0.250 0.250 0.750 1
Au3 Au 0.250 0.750 0.250 1
Au4 Au 0.250 0.750 0.750 1
Au5 Au 0.750 0.250 0.250 1
Au6 Au 0.750 0.250 0.750 1
Au7 Au 0.750 0.750 0.250 1
Au8 Au 0.750 0.750 0.750 1
```

***

[2]
This entry pairs a crystal structure of NdGa3Ag with its theoretical XRD peak list. Radiation: Cu Kα (λ = 1.5418 Å). Structure: a DFT-relaxed cell (PBE, the Materials Project).
Intensities are scaled so that the largest is 100.

Peak list (10 most intense, 5° ≤ 2θ ≤ 70°, by intensity)
2θ 33.1, rel. 100.0
2θ 32.5, rel. 79.2
2θ 40.4, rel. 70.4
2θ 52.8, rel. 39.2
2θ 47.8, rel. 33.1
2θ 28.3, rel. 27.4
2θ 64.4, rel. 26.5
2θ 58.5, rel. 23.1
2θ 68.9, rel. 23.1
2θ 44.9, rel. 15.7

Cell and atoms:
```
data_NdGa3Ag
_chemical_formula_sum 'Nd2 Ga6 Ag2'
_cell_length_a 4.460
_cell_length_b 4.460
_cell_length_c 10.521
_cell_angle_alpha 90.00
_cell_angle_beta 90.00
_cell_angle_gamma 90.00
_space_group_name_H-M_alt 'P 1'
_space_group_IT_number 1
loop_
_space_group_symop_operation_xyz
'x,y,z'
loop_
_atom_site_label
_atom_site_type_symbol
_atom_site_fract_x
_atom_site_fract_y
_atom_site_fract_z
_atom_site_occupancy
Nd1 Nd 0.000 0.000 0.000 1
Nd2 Nd 0.500 0.500 0.500 1
Ga1 Ga 0.000 0.000 0.384 1
Ga2 Ga 0.000 0.500 0.250 1
Ga3 Ga 0.000 0.500 0.750 1
Ga4 Ga 0.500 0.000 0.250 1
Ga5 Ga 0.500 0.000 0.750 1
Ga6 Ga 0.500 0.500 0.884 1
Ag1 Ag 0.000 0.000 0.623 1
Ag2 Ag 0.500 0.500 0.123 1
```

***

[3]
This entry pairs a crystal structure of Rb2UCl4O4 with its theoretical XRD peak list. Radiation: Cu Kα (λ = 1.5418 Å). Structure: a DFT-relaxed cell (PBE, the Materials Project).
Intensities are scaled so that the largest is 100.

Peak list (10 most intense, 5° ≤ 2θ ≤ 70°, by intensity)
2θ 12.1, rel. 100.0
2θ 17.1, rel. 69.6
2θ 19.8, rel. 69.5
2θ 27.0, rel. 56.9
2θ 25.4, rel. 56.1
2θ 20.9, rel. 55.9
2θ 14.5, rel. 55.4
2θ 15.1, rel. 47.0
2θ 27.1, rel. 46.3
2θ 26.4, rel. 42.8

Cell and atoms:
```
data_Rb2UCl4O4
_chemical_formula_sum 'Rb2 U1 Cl4 O4'
_cell_length_a 6.757
_cell_length_b 6.995
_cell_length_c 7.578
_cell_angle_alpha 78.59
_cell_angle_beta 76.59
_cell_angle_gamma 61.53
_space_group_name_H-M_alt 'P 1'
_space_group_IT_number 1
loop_
_space_group_symop_operation_xyz
'x,y,z'
loop_
_atom_site_label
_atom_site_type_symbol
_atom_site_fract_x
_atom_site_fract_y
_atom_site_fract_z
_atom_site_occupancy
Rb1 Rb 0.190 0.243 0.254 1
Rb2 Rb 0.810 0.757 0.746 1
U1 U 0.500 0.500 0.500 1
Cl1 Cl 0.282 0.879 0.644 1
Cl2 Cl 0.483 0.715 0.163 1
Cl3 Cl 0.517 0.285 0.837 1
Cl4 Cl 0.718 0.121 0.356 1
O1 O 0.015 0.732 0.083 1
O2 O 0.228 0.508 0.498 1
O3 O 0.772 0.492 0.502 1
O4 O 0.985 0.268 0.917 1
```

***

[4]
This entry pairs a crystal structure of Cs4Re6C4S9N4 with its theoretical XRD peak list. Radiation: Cu Kα (λ = 1.5418 Å). Structure: a DFT-relaxed cell (PBE, the Materials Project).
Intensities are scaled so that the largest is 100.

Peak list (10 most intense, 5° ≤ 2θ ≤ 70°, by intensity)
2θ 9.7, rel. 100.0
2θ 12.7, rel. 30.5
2θ 12.8, rel. 29.9
2θ 13.4, rel. 14.3
2θ 14.0, rel. 12.6
2θ 18.5, rel. 8.3
2θ 21.3, rel. 7.9
2θ 18.7, rel. 7.4
2θ 21.6, rel. 7.3
2θ 22.1, rel. 6.5

Cell and atoms:
```
data_Cs4Re6C4S9N4
_chemical_formula_sum 'Cs8 Re12 C8 S18 N8'
_cell_length_a 10.045
_cell_length_b 10.080
_cell_length_c 15.288
_cell_angle_alpha 102.18
_cell_angle_beta 107.68
_cell_angle_gamma 101.85
_space_group_name_H-M_alt 'P 1'
_space_group_IT_number 1
loop_
_space_group_symop_operation_xyz
'x,y,z'
loop_
_atom_site_label
_atom_site_type_symbol
_atom_site_fract_x
_atom_site_fract_y
_atom_site_fract_z
_atom_site_occupancy
Cs1 Cs 0.099 0.291 0.101 1
Cs2 Cs 0.102 0.817 0.593 1
Cs3 Cs 0.265 0.396 0.804 1
Cs4 Cs 0.276 0.850 0.268 1
Cs5 Cs 0.724 0.150 0.732 1
Cs6 Cs 0.735 0.604 0.196 1
Cs7 Cs 0.898 0.183 0.407 1
Cs8 Cs 0.901 0.709 0.899 1
Re1 Re 0.329 0.515 0.416 1
Re2 Re 0.330 0.047 0.947 1
Re3 Re 0.389 0.360 0.533 1
Re4 Re 0.389 0.828 0.001 1
Re5 Re 0.492 0.641 0.599 1
Re6 Re 0.492 0.914 0.876 1
Re7 Re 0.508 0.086 0.124 1
Re8 Re 0.508 0.359 0.401 1
Re9 Re 0.611 0.172 0.999 1
Re10 Re 0.611 0.640 0.467 1
Re11 Re 0.670 0.953 0.053 1
Re12 Re 0.671 0.485 0.584 1
C1 C 0.139 0.537 0.323 1
C2 C 0.140 0.101 0.882 1
C3 C 0.258 0.209 0.572 1
C4 C 0.266 0.637 0.008 1
C5 C 0.734 0.363 0.992 1
C6 C 0.742 0.791 0.428 1
C7 C 0.860 0.899 0.118 1
C8 C 0.861 0.463 0.677 1
S1 S 0.233 0.512 0.543 1
S2 S 0.233 0.806 0.840 1
S3 S 0.247 0.258 0.362 1
S4 S 0.247 0.965 0.063 1
S5 S 0.438 0.124 0.838 1
S6 S 0.438 0.770 0.482 1
S7 S 0.452 0.279 0.064 1
S8 S 0.452 0.513 0.301 1
S9 S 0.471 0.840 0.709 1
S10 S 0.529 0.160 0.291 1
S11 S 0.548 0.487 0.699 1
S12 S 0.548 0.721 0.936 1
S13 S 0.562 0.230 0.518 1
S14 S 0.562 0.876 0.162 1
S15 S 0.753 0.035 0.937 1
S16 S 0.753 0.742 0.638 1
S17 S 0.767 0.194 0.160 1
S18 S 0.767 0.488 0.457 1
N1 N 0.034 0.130 0.842 1
N2 N 0.034 0.555 0.271 1
N3 N 0.178 0.131 0.594 1
N4 N 0.195 0.535 0.016 1
N5 N 0.805 0.465 0.984 1
N6 N 0.822 0.869 0.406 1
N7 N 0.966 0.445 0.729 1
N8 N 0.966 0.870 0.158 1
```

***

[5]
This entry pairs a crystal structure of KCaPrSbO6 with its theoretical XRD peak list. Radiation: Cu Kα (λ = 1.5418 Å). Structure: a DFT-relaxed cell (PBE, the Materials Project).
Intensities are scaled so that the largest is 100.

Peak list (10 most intense, 5° ≤ 2θ ≤ 70°, by intensity)
2θ 30.1, rel. 100.0
2θ 18.3, rel. 39.8
2θ 53.5, rel. 38.9
2θ 43.1, rel. 35.9
2θ 62.7, rel. 21.2
2θ 35.5, rel. 21.1
2θ 47.2, rel. 8.9
2θ 57.1, rel. 8.4
2θ 65.9, rel. 8.1
2θ 37.1, rel. 5.2

Cell and atoms:
```
data_KCaPrSbO6
_chemical_formula_sum 'K1 Ca1 Pr1 Sb1 O6'
_cell_length_a 5.930
_cell_length_b 5.930
_cell_length_c 5.930
_cell_angle_alpha 60.00
_cell_angle_beta 60.00
_cell_angle_gamma 60.00
_space_group_name_H-M_alt 'P 1'
_space_group_IT_number 1
loop_
_space_group_symop_operation_xyz
'x,y,z'
loop_
_atom_site_label
_atom_site_type_symbol
_atom_site_fract_x
_atom_site_fract_y
_atom_site_fract_z
_atom_site_occupancy
K1 K 0.000 0.000 0.000 1
Ca1 Ca 0.750 0.750 0.750 1
Pr1 Pr 0.500 0.500 0.500 1
Sb1 Sb 0.250 0.250 0.250 1
O1 O 0.014 0.014 0.486 1
O2 O 0.014 0.486 0.014 1
O3 O 0.014 0.486 0.486 1
O4 O 0.486 0.014 0.014 1
O5 O 0.486 0.014 0.486 1
O6 O 0.486 0.486 0.014 1
```

***

[6]
This entry pairs a crystal structure of DyNi2Bi2 with its theoretical XRD peak list. Radiation: Cu Kα (λ = 1.5418 Å). Structure: a DFT-relaxed cell (PBE, the Materials Project).
Intensities are scaled so that the largest is 100.

Peak list (10 most intense, 5° ≤ 2θ ≤ 70°, by intensity)
2θ 32.5, rel. 100.0
2θ 39.2, rel. 52.1
2θ 28.8, rel. 34.2
2θ 44.9, rel. 25.5
2θ 66.8, rel. 20.6
2θ 51.8, rel. 20.3
2θ 25.9, rel. 19.0
2θ 56.6, rel. 17.9
2θ 47.6, rel. 14.1
2θ 48.4, rel. 10.5

Cell and atoms:
```
data_DyNi2Bi2
_chemical_formula_sum 'Dy2 Ni4 Bi4'
_cell_length_a 4.599
_cell_length_b 4.599
_cell_length_c 10.305
_cell_angle_alpha 90.00
_cell_angle_beta 90.00
_cell_angle_gamma 90.00
_space_group_name_H-M_alt 'P 1'
_space_group_IT_number 1
loop_
_space_group_symop_operation_xyz
'x,y,z'
loop_
_atom_site_label
_atom_site_type_symbol
_atom_site_fract_x
_atom_site_fract_y
_atom_site_fract_z
_atom_site_occupancy
Dy1 Dy 0.250 0.250 0.223 1
Dy2 Dy 0.750 0.750 0.777 1
Ni1 Ni 0.250 0.250 0.632 1
Ni2 Ni 0.250 0.750 0.000 1
Ni3 Ni 0.750 0.250 0.000 1
Ni4 Ni 0.750 0.750 0.368 1
Bi1 Bi 0.250 0.250 0.876 1
Bi2 Bi 0.250 0.750 0.500 1
Bi3 Bi 0.750 0.250 0.500 1
Bi4 Bi 0.750 0.750 0.124 1
```

***

[7]
This entry pairs a crystal structure of SmAgSn with its theoretical XRD peak list. Radiation: Cu Kα (λ = 1.5418 Å). Structure: a DFT-relaxed cell (PBE, the Materials Project).
Intensities are scaled so that the largest is 100.

Peak list (10 most intense, 5° ≤ 2θ ≤ 70°, by intensity)
2θ 31.7, rel. 100.0
2θ 36.9, rel. 78.9
2θ 49.4, rel. 28.9
2θ 63.2, rel. 27.5
2θ 41.5, rel. 17.5
2θ 66.4, rel. 14.0
2θ 61.9, rel. 13.9
2θ 24.1, rel. 8.9
2θ 69.6, rel. 7.6
2θ 56.7, rel. 6.9

Cell and atoms:
```
data_SmAgSn
_chemical_formula_sum 'Sm2 Ag2 Sn2'
_cell_length_a 4.877
_cell_length_b 4.877
_cell_length_c 7.605
_cell_angle_alpha 90.00
_cell_angle_beta 90.00
_cell_angle_gamma 120.00
_space_group_name_H-M_alt 'P 1'
_space_group_IT_number 1
loop_
_space_group_symop_operation_xyz
'x,y,z'
loop_
_atom_site_label
_atom_site_type_symbol
_atom_site_fract_x
_atom_site_fract_y
_atom_site_fract_z
_atom_site_occupancy
Sm1 Sm 0.000 0.000 0.230 1
Sm2 Sm 0.000 0.000 0.770 1
Ag1 Ag 0.333 0.667 0.980 1
Ag2 Ag 0.667 0.333 0.020 1
Sn1 Sn 0.333 0.667 0.557 1
Sn2 Sn 0.667 0.333 0.443 1
```

***

[8]
This entry pairs a crystal structure of Sr5Sb3 with its theoretical XRD peak list. Radiation: Cu Kα (λ = 1.5418 Å). Structure: a DFT-relaxed cell (PBE, the Materials Project).
Intensities are scaled so that the largest is 100.

Peak list (10 most intense, 5° ≤ 2θ ≤ 70°, by intensity)
2θ 30.0, rel. 100.0
2θ 27.6, rel. 89.9
2θ 28.3, rel. 89.4
2θ 31.9, rel. 64.6
2θ 35.5, rel. 54.8
2θ 28.4, rel. 52.8
2θ 56.9, rel. 34.9
2θ 39.1, rel. 32.2
2θ 31.1, rel. 25.6
2θ 45.2, rel. 25.3

Cell and atoms:
```
data_Sr5Sb3
_chemical_formula_sum 'Sr20 Sb12'
_cell_length_a 13.517
_cell_length_b 10.104
_cell_length_c 8.823
_cell_angle_alpha 90.00
_cell_angle_beta 90.00
_cell_angle_gamma 90.00
_space_group_name_H-M_alt 'P 1'
_space_group_IT_number 1
loop_
_space_group_symop_operation_xyz
'x,y,z'
loop_
_atom_site_label
_atom_site_type_symbol
_atom_site_fract_x
_atom_site_fract_y
_atom_site_fract_z
_atom_site_occupancy
Sr1 Sr 0.004 0.250 0.036 1
Sr2 Sr 0.084 0.039 0.687 1
Sr3 Sr 0.084 0.461 0.687 1
Sr4 Sr 0.202 0.750 0.344 1
Sr5 Sr 0.224 0.250 0.319 1
Sr6 Sr 0.276 0.750 0.819 1
Sr7 Sr 0.298 0.250 0.844 1
Sr8 Sr 0.416 0.539 0.187 1
Sr9 Sr 0.416 0.961 0.187 1
Sr10 Sr 0.496 0.750 0.536 1
Sr11 Sr 0.504 0.250 0.464 1
Sr12 Sr 0.584 0.039 0.813 1
Sr13 Sr 0.584 0.461 0.813 1
Sr14 Sr 0.702 0.750 0.156 1
Sr15 Sr 0.724 0.250 0.181 1
Sr16 Sr 0.776 0.750 0.681 1
Sr17 Sr 0.798 0.250 0.656 1
Sr18 Sr 0.916 0.539 0.313 1
Sr19 Sr 0.916 0.961 0.313 1
Sr20 Sr 0.996 0.750 0.964 1
Sb1 Sb 0.014 0.750 0.576 1
Sb2 Sb 0.172 0.510 0.057 1
Sb3 Sb 0.172 0.990 0.057 1
Sb4 Sb 0.328 0.010 0.557 1
Sb5 Sb 0.328 0.490 0.557 1
Sb6 Sb 0.486 0.250 0.076 1
Sb7 Sb 0.514 0.750 0.924 1
Sb8 Sb 0.672 0.510 0.443 1
Sb9 Sb 0.672 0.990 0.443 1
Sb10 Sb 0.828 0.010 0.943 1
Sb11 Sb 0.828 0.490 0.943 1
Sb12 Sb 0.986 0.250 0.424 1
```

***

[9]
This entry pairs a crystal structure of Sc6Te2Ir with its theoretical XRD peak list. Radiation: Cu Kα (λ = 1.5418 Å). Structure: a DFT-relaxed cell (PBE, the Materials Project).
Intensities are scaled so that the largest is 100.

Peak list (10 most intense, 5° ≤ 2θ ≤ 70°, by intensity)
2θ 35.5, rel. 100.0
2θ 22.8, rel. 99.8
2θ 42.6, rel. 91.2
2θ 26.8, rel. 69.5
2θ 40.0, rel. 66.1
2θ 64.9, rel. 35.7
2θ 63.9, rel. 32.3
2θ 32.8, rel. 30.8
2θ 13.1, rel. 25.9
2θ 63.0, rel. 22.9

Cell and atoms:
```
data_Sc6Te2Ir
_chemical_formula_sum 'Sc6 Te2 Ir1'
_cell_length_a 7.803
_cell_length_b 7.803
_cell_length_c 3.818
_cell_angle_alpha 90.00
_cell_angle_beta 90.00
_cell_angle_gamma 120.00
_space_group_name_H-M_alt 'P 1'
_space_group_IT_number 1
loop_
_space_group_symop_operation_xyz
'x,y,z'
loop_
_atom_site_label
_atom_site_type_symbol
_atom_site_fract_x
_atom_site_fract_y
_atom_site_fract_z
_atom_site_occupancy
Sc1 Sc 0.000 0.243 0.000 1
Sc2 Sc 0.000 0.615 0.500 1
Sc3 Sc 0.243 0.000 0.000 1
Sc4 Sc 0.385 0.385 0.500 1
Sc5 Sc 0.615 0.000 0.500 1
Sc6 Sc 0.757 0.757 0.000 1
Te1 Te 0.333 0.667 0.000 1
Te2 Te 0.667 0.333 0.000 1
Ir1 Ir 0.000 0.000 0.500 1
```

***

[10]
This entry pairs a crystal structure of Gd2B5 with its theoretical XRD peak list. Radiation: Cu Kα (λ = 1.5418 Å). Structure: a DFT-relaxed cell (PBE, the Materials Project).
Intensities are scaled so that the largest is 100.

Peak list (10 most intense, 5° ≤ 2θ ≤ 70°, by intensity)
2θ 25.5, rel. 100.0
2θ 28.0, rel. 68.4
2θ 36.0, rel. 66.2
2θ 36.3, rel. 54.7
2θ 24.9, rel. 51.7
2θ 28.4, rel. 43.9
2θ 32.0, rel. 38.1
2θ 40.2, rel. 36.8
2θ 34.5, rel. 34.3
2θ 33.5, rel. 34.1

Cell and atoms:
```
data_Gd2B5
_chemical_formula_sum 'Gd8 B20'
_cell_length_a 7.149
_cell_length_b 7.150
_cell_length_c 7.177
_cell_angle_alpha 90.00
_cell_angle_beta 102.58
_cell_angle_gamma 90.00
_space_group_name_H-M_alt 'P 1'
_space_group_IT_number 1
loop_
_space_group_symop_operation_xyz
'x,y,z'
loop_
_atom_site_label
_atom_site_type_symbol
_atom_site_fract_x
_atom_site_fract_y
_atom_site_fract_z
_atom_site_occupancy
Gd1 Gd 0.233 0.191 0.128 1
Gd2 Gd 0.233 0.309 0.628 1
Gd3 Gd 0.241 0.684 0.256 1
Gd4 Gd 0.241 0.816 0.756 1
Gd5 Gd 0.759 0.184 0.244 1
Gd6 Gd 0.759 0.316 0.744 1
Gd7 Gd 0.767 0.691 0.372 1
Gd8 Gd 0.767 0.809 0.872 1
B1 B 0.077 0.508 0.929 1
B2 B 0.077 0.992 0.429 1
B3 B 0.315 0.502 0.961 1
B4 B 0.315 0.998 0.461 1
B5 B 0.497 0.173 0.460 1
B6 B 0.497 0.327 0.960 1
B7 B 0.497 0.539 0.826 1
B8 B 0.497 0.961 0.326 1
B9 B 0.500 0.090 0.910 1
B10 B 0.500 0.410 0.410 1
B11 B 0.500 0.590 0.590 1
B12 B 0.500 0.910 0.090 1
B13 B 0.503 0.039 0.674 1
B14 B 0.503 0.461 0.174 1
B15 B 0.503 0.673 0.040 1
B16 B 0.503 0.827 0.540 1
B17 B 0.685 0.002 0.539 1
B18 B 0.685 0.498 0.039 1
B19 B 0.923 0.008 0.571 1
B20 B 0.923 0.492 0.071 1
```

***

[11]
This entry pairs a crystal structure of Rb2NaGdCl6 with its theoretical XRD peak list. Radiation: Cu Kα (λ = 1.5418 Å). Structure: a DFT-relaxed cell (PBE, the Materials Project).
Intensities are scaled so that the largest is 100.

Peak list (10 most intense, 5° ≤ 2θ ≤ 70°, by intensity)
2θ 23.2, rel. 100.0
2θ 33.0, rel. 84.9
2θ 47.4, rel. 57.5
2θ 14.1, rel. 49.8
2θ 40.7, rel. 47.0
2θ 27.3, rel. 28.1
2θ 64.2, rel. 25.1
2θ 28.5, rel. 24.2
2θ 53.4, rel. 21.8
2θ 59.0, rel. 19.2

Cell and atoms:
```
data_Rb2NaGdCl6
_chemical_formula_sum 'Rb2 Na1 Gd1 Cl6'
_cell_length_a 7.674
_cell_length_b 7.674
_cell_length_c 7.674
_cell_angle_alpha 60.00
_cell_angle_beta 60.00
_cell_angle_gamma 60.00
_space_group_name_H-M_alt 'P 1'
_space_group_IT_number 1
loop_
_space_group_symop_operation_xyz
'x,y,z'
loop_
_atom_site_label
_atom_site_type_symbol
_atom_site_fract_x
_atom_site_fract_y
_atom_site_fract_z
_atom_site_occupancy
Rb1 Rb 0.250 0.250 0.250 1
Rb2 Rb 0.750 0.750 0.750 1
Na1 Na 0.000 0.000 0.000 1
Gd1 Gd 0.500 0.500 0.500 1
Cl1 Cl 0.255 0.255 0.745 1
Cl2 Cl 0.255 0.745 0.255 1
Cl3 Cl 0.255 0.745 0.745 1
Cl4 Cl 0.745 0.255 0.255 1
Cl5 Cl 0.745 0.255 0.745 1
Cl6 Cl 0.745 0.745 0.255 1
```

***

Number 7 is which compound? SmAgSn